(1)
# Al2CoCl8
Simulated powder X-ray diffraction pattern, Cu Kα (λ = 1.5418 Å). Input: DFT lattice parameters and positions (PBE).
Kinematic intensities with the Lorentz-polarization factor, no thermal factor.

Peak list (8 most intense, 10° ≤ 2θ ≤ 90°, by angle)
2θ = 12.70°, rel. 100; 2θ = 15.02°, rel. 17; 2θ = 19.60°, rel. 15; 2θ = 29.08°, rel. 26; 2θ = 30.31°, rel. 53; 2θ = 30.71°, rel. 15; 2θ = 40.99°, rel. 19; 2θ = 45.08°, rel. 25

Lattice parameters (Å, degrees): 8.058 8.058 11.659 92.89 92.89 59.76
Positions (direct):
Al 0.161 0.677 0.945
Al 0.323 0.839 0.555
Al 0.677 0.161 0.445
Al 0.839 0.323 0.055
Co 0.002 0.998 0.750
Co 0.998 0.002 0.250
Cl 0.124 0.162 0.138
Cl 0.147 0.700 0.132
Cl 0.160 0.715 0.618
Cl 0.162 0.124 0.638
Cl 0.285 0.840 0.882
Cl 0.300 0.853 0.368
Cl 0.310 0.383 0.898
Cl 0.383 0.310 0.398
Cl 0.617 0.690 0.602
Cl 0.690 0.617 0.102
Cl 0.700 0.147 0.632
Cl 0.715 0.160 0.118
Cl 0.838 0.876 0.362
Cl 0.840 0.285 0.382
Cl 0.853 0.300 0.868
Cl 0.876 0.838 0.862

---

(2)
# Nb3Ge
Simulated powder X-ray diffraction pattern, Cu Kα (λ = 1.5418 Å). Input: DFT lattice parameters and positions (PBE).
Kinematic intensities with the Lorentz-polarization factor, no thermal factor.

Peak list (8 most intense, 10° ≤ 2θ ≤ 90°, by angle)
2θ = 33.66°, rel. 23; 2θ = 35.52°, rel. 58; 2θ = 38.00°, rel. 64; 2θ = 38.90°, rel. 82; 2θ = 39.68°, rel. 100; 2θ = 41.96°, rel. 53; 2θ = 50.46°, rel. 24; 2θ = 64.29°, rel. 38

Lattice parameters (Å, degrees): 7.791 7.791 7.791 96.71 96.71 140.03
Positions (direct):
Nb 0.080 0.771 0.851
Nb 0.229 0.080 0.309
Nb 0.250 0.250 0.000
Nb 0.250 0.750 0.500
Nb 0.271 0.580 0.851
Nb 0.420 0.271 0.691
Nb 0.580 0.729 0.309
Nb 0.729 0.420 0.149
Nb 0.750 0.250 0.500
Nb 0.750 0.750 0.000
Nb 0.771 0.920 0.691
Nb 0.920 0.229 0.149
Ge 0.162 0.338 0.500
Ge 0.338 0.838 0.175
Ge 0.662 0.162 0.825
Ge 0.838 0.662 0.500

---

(3)
# TlPb2Br5
Simulated powder X-ray diffraction pattern, Cu Kα (λ = 1.5418 Å). Input: DFT lattice parameters and positions (PBE).
Kinematic intensities with the Lorentz-polarization factor, no thermal factor.

Peak list (8 most intense, 10° ≤ 2θ ≤ 90°, by angle)
2θ = 20.78°, rel. 43; 2θ = 22.46°, rel. 68; 2θ = 22.58°, rel. 47; 2θ = 23.11°, rel. 46; 2θ = 29.50°, rel. 45; 2θ = 31.27°, rel. 100; 2θ = 32.83°, rel. 50; 2θ = 40.14°, rel. 56

Lattice parameters (Å, degrees): 9.405 8.548 13.397 90.00 90.03 90.00
Positions (direct):
Tl 0.007 0.019 0.176
Tl 0.007 0.481 0.676
Tl 0.993 0.519 0.324
Tl 0.993 0.981 0.824
Pb 0.250 0.075 0.493
Pb 0.250 0.425 0.993
Pb 0.496 0.014 0.180
Pb 0.496 0.486 0.680
Pb 0.504 0.514 0.320
Pb 0.504 0.986 0.820
Pb 0.750 0.575 0.007
Pb 0.750 0.925 0.507
Br 0.040 0.664 0.088
Br 0.040 0.836 0.588
Br 0.274 0.191 0.718
Br 0.274 0.309 0.218
Br 0.280 0.652 0.814
Br 0.280 0.848 0.314
Br 0.281 0.043 0.998
Br 0.281 0.457 0.498
Br 0.456 0.664 0.101
Br 0.456 0.836 0.601
Br 0.544 0.164 0.399
Br 0.544 0.336 0.899
Br 0.719 0.543 0.502
Br 0.719 0.957 0.002
Br 0.720 0.152 0.686
Br 0.720 0.348 0.186
Br 0.726 0.691 0.782
Br 0.726 0.809 0.282
Br 0.960 0.164 0.412
Br 0.960 0.336 0.912

---

(4)
# Mn3Co
Simulated powder X-ray diffraction pattern, Cu Kα (λ = 1.5418 Å). Input: DFT lattice parameters and positions (PBE).
Kinematic intensities with the Lorentz-polarization factor, no thermal factor.

Peak list (7 most intense, 10° ≤ 2θ ≤ 90°, by angle)
2θ = 30.70°, rel. 1; 2θ = 41.94°, rel. 26; 2θ = 45.91°, rel. 26; 2θ = 48.11°, rel. 100; 2θ = 63.92°, rel. 13; 2θ = 76.62°, rel. 15; 2θ = 86.60°, rel. 16

Lattice parameters (Å, degrees): 4.974 4.974 3.953 90.00 90.00 120.00
Positions (direct):
Mn 0.162 0.325 0.250
Mn 0.162 0.838 0.250
Mn 0.325 0.162 0.750
Mn 0.675 0.838 0.250
Mn 0.838 0.162 0.750
Mn 0.838 0.675 0.750
Co 0.333 0.667 0.750
Co 0.667 0.333 0.250

---

(5)
# Ba2NdMgCu3O7
Simulated powder X-ray diffraction pattern, Cu Kα (λ = 1.5418 Å). Input: DFT lattice parameters and positions (PBE).
Kinematic intensities with the Lorentz-polarization factor, no thermal factor.

Peak list (8 most intense, 10° ≤ 2θ ≤ 90°, by angle)
2θ = 29.36°, rel. 41; 2θ = 30.57°, rel. 38; 2θ = 32.74°, rel. 100; 2θ = 33.97°, rel. 96; 2θ = 35.03°, rel. 96; 2θ = 45.32°, rel. 38; 2θ = 58.53°, rel. 42; 2θ = 60.62°, rel. 35

Lattice parameters (Å, degrees): 3.746 4.002 14.040 90.00 90.00 90.00
Positions (direct):
Ba 0.000 0.000 0.000
Ba 0.000 0.000 0.467
Nd 0.000 0.000 0.739
Mg 0.000 0.500 0.188
Cu 0.500 0.500 0.320
Cu 0.500 0.500 0.615
Cu 0.500 0.500 0.860
O 0.000 0.500 0.646
O 0.000 0.500 0.868
O 0.500 0.000 0.287
O 0.500 0.000 0.631
O 0.500 0.000 0.860
O 0.500 0.500 0.106
O 0.500 0.500 0.457

---

(6)
# CaRhO3
Simulated powder X-ray diffraction pattern, Cu Kα (λ = 1.5418 Å). Input: DFT lattice parameters and positions (PBE).
Kinematic intensities with the Lorentz-polarization factor, no thermal factor.

Peak list (8 most intense, 10° ≤ 2θ ≤ 90°, by angle)
2θ = 17.87°, rel. 49; 2θ = 24.13°, rel. 25; 2θ = 29.66°, rel. 52; 2θ = 30.18°, rel. 100; 2θ = 38.59°, rel. 29; 2θ = 39.42°, rel. 44; 2θ = 46.75°, rel. 45; 2θ = 60.51°, rel. 24

Lattice parameters (Å, degrees): 5.210 5.210 7.378 90.00 90.00 144.68
Positions (direct):
Ca 0.249 0.751 0.750
Ca 0.751 0.249 0.250
Rh 0.500 0.500 0.000
Rh 0.500 0.500 0.500
O 0.127 0.873 0.052
O 0.127 0.873 0.448
O 0.423 0.577 0.250
O 0.577 0.423 0.750
O 0.873 0.127 0.552
O 0.873 0.127 0.948

---

(7)
# InNi22B6
Simulated powder X-ray diffraction pattern, Cu Kα (λ = 1.5418 Å). Input: DFT lattice parameters and positions (PBE).
Kinematic intensities with the Lorentz-polarization factor, no thermal factor.

Peak list (8 most intense, 10° ≤ 2θ ≤ 90°, by angle)
2θ = 38.23°, rel. 13; 2θ = 42.04°, rel. 32; 2θ = 44.73°, rel. 100; 2θ = 48.94°, rel. 23; 2θ = 51.34°, rel. 17; 2θ = 52.12°, rel. 13; 2θ = 76.82°, rel. 22; 2θ = 78.71°, rel. 14

Lattice parameters (Å, degrees): 7.445 7.445 7.445 60.00 60.00 60.00
Positions (direct):
In 0.000 0.000 0.000
Ni 0.000 0.000 0.344
Ni 0.000 0.000 0.656
Ni 0.000 0.344 0.000
Ni 0.000 0.344 0.656
Ni 0.000 0.656 0.000
Ni 0.000 0.656 0.344
Ni 0.146 0.618 0.618
Ni 0.250 0.250 0.250
Ni 0.344 0.000 0.000
Ni 0.344 0.000 0.656
Ni 0.344 0.656 0.000
Ni 0.382 0.382 0.382
Ni 0.382 0.382 0.854
Ni 0.382 0.854 0.382
Ni 0.618 0.146 0.618
Ni 0.618 0.618 0.146
Ni 0.618 0.618 0.618
Ni 0.656 0.000 0.000
Ni 0.656 0.000 0.344
Ni 0.656 0.344 0.000
Ni 0.750 0.750 0.750
Ni 0.854 0.382 0.382
B 0.275 0.275 0.725
B 0.275 0.725 0.275
B 0.275 0.725 0.725
B 0.725 0.275 0.275
B 0.725 0.275 0.725
B 0.725 0.725 0.275

---

(8)
# SrIn
Simulated powder X-ray diffraction pattern, Cu Kα (λ = 1.5418 Å). Input: DFT lattice parameters and positions (PBE).
Kinematic intensities with the Lorentz-polarization factor, no thermal factor.

Peak list (8 most intense, 10° ≤ 2θ ≤ 90°, by angle)
2θ = 13.43°, rel. 26; 2θ = 27.04°, rel. 22; 2θ = 28.05°, rel. 100; 2θ = 29.21°, rel. 40; 2θ = 32.26°, rel. 73; 2θ = 32.93°, rel. 22; 2θ = 34.12°, rel. 76; 2θ = 34.91°, rel. 41

Lattice parameters (Å, degrees): 6.670 6.676 13.850 101.24 101.22 100.78
Positions (direct):
Sr 0.000 0.000 0.000
Sr 0.013 0.016 0.512
Sr 0.052 0.655 0.715
Sr 0.106 0.610 0.216
Sr 0.444 0.546 0.497
Sr 0.471 0.570 0.012
Sr 0.568 0.166 0.202
Sr 0.608 0.112 0.701
In 0.080 0.126 0.284
In 0.170 0.220 0.789
In 0.487 0.036 0.424
In 0.491 0.041 0.927
In 0.570 0.629 0.783
In 0.668 0.720 0.285
In 0.892 0.453 0.431
In 0.904 0.448 0.930